[1]
Simulated X-ray powder pattern of TlClF2 for λ = 1.5418 Å (Cu Kα), from a cell relaxed with GGA-PBE.
Kinematic intensities with the Lorentz-polarization factor, no thermal factor.

Crystal structure
Lattice parameters (Å, degrees): 9.880 6.176 6.279 90.00 122.19 90.00
Space group Cc (No. 9)
Unique sites:
Tl (0.000, 0.232, 0.000)
Cl (0.093, 0.385, 0.723)
F (0.254, 0.135, 0.279)
F (0.441, 0.439, 0.743)

Peak list (10 most intense, 10 to 90 degrees two-theta, most intense first)
2θ/deg  d_spacing  I/Imax  hkl
20.24  4.387  100  1 1 -1
21.25  4.181  52  2 0 0
28.21  3.164  46  1 1 1
46.48  1.954  31  3 1 1
28.64  3.117  24  2 0 -2
30.77  2.906  23  3 1 -1
36.16  2.484  20  2 2 0
41.15  2.194  19  2 2 -2
28.91  3.088  18  0 2 0
46.09  1.969  17  3 1 -3

[2]
Simulated X-ray powder pattern of Tl4Cl5F2 for λ = 1.5418 Å (Cu Kα), from a cell relaxed with GGA-PBE.
Kinematic intensities with the Lorentz-polarization factor, no thermal factor.

Crystal structure
Lattice parameters (Å, degrees): 4.069 9.487 9.501 112.63 101.90 90.14
Space group P-1 (No. 2)
Unique sites:
Tl (0.015, 0.290, 0.028)
Tl (0.322, 0.806, 0.630)
Cl (0.124, 0.901, 0.259)
Cl (0.160, 0.431, 0.329)
Cl (0.500, 0.500, 0.000)
F (0.461, 0.815, 0.922)

Peak list (10 most intense, 10 to 90 degrees two-theta, most intense first)
2θ/deg  d_spacing  I/Imax  hkl
17.15  5.170  100  0 1 1
20.37  4.360  78  0 2 0
23.82  3.735  67  1 1 -1
29.05  3.074  64  1 2 -1
22.69  3.919  63  0 2 -2
29.99  2.979  55  1 2 -2
29.84  2.995  54  1 -2 1
31.40  2.849  50  0 0 3
36.65  2.452  43  1 -3 0
19.20  4.623  42  0 1 -2

[3]
Simulated X-ray powder pattern of UTl2Cl5F for λ = 1.5418 Å (Cu Kα), from a cell relaxed with GGA-PBE.
Kinematic intensities with the Lorentz-polarization factor, no thermal factor.

Crystal structure
Lattice parameters (Å, degrees): 7.580 7.580 10.377 90.00 90.00 90.00
Space group I4mm (No. 107)
Unique sites:
U (0.000, 0.000, 0.000)
Tl (0.000, 0.500, 0.308)
Cl (0.000, 0.000, 0.750)
Cl (0.248, 0.248, 0.990)
F (0.000, 0.000, 0.199)

Peak list (10 most intense, 10 to 90 degrees two-theta, most intense first)
2θ/deg  d_spacing  I/Imax  hkl
23.87  3.728  100  1 1 2
14.47  6.121  59  1 0 1
23.47  3.790  49  2 0 0
33.44  2.680  49  2 2 0
41.50  2.176  49  3 1 2
29.18  3.060  26  2 0 2
27.69  3.222  25  2 1 1
38.55  2.335  22  1 1 4
51.94  1.761  19  3 1 4
48.01  1.895  18  4 0 0

[4]
Simulated X-ray powder pattern of Tl2ZnCl2F2 for λ = 1.5418 Å (Cu Kα), from a cell relaxed with GGA-PBE.
Kinematic intensities with the Lorentz-polarization factor, no thermal factor.

Crystal structure
Lattice parameters (Å, degrees): 12.689 3.825 7.723 90.00 119.74 90.00
Space group C2/m (No. 12)
Unique sites:
Tl (0.179, 0.000, 0.216)
Zn (0.000, 0.000, 0.500)
Cl (0.049, 0.500, 0.753)
F (0.172, 0.000, 0.559)

Peak list (10 most intense, 10 to 90 degrees two-theta, most intense first)
2θ/deg  d_spacing  I/Imax  hkl
29.94  2.985  100  1 1 1
28.27  3.157  88  4 0 -1
26.04  3.422  77  1 1 -1
23.23  3.829  75  2 0 -2
33.84  2.649  67  3 1 0
34.85  2.574  61  3 1 -2
44.03  2.057  54  1 1 -3
25.51  3.491  52  2 0 1
26.59  3.353  44  0 0 2
47.53  1.913  37  0 2 0

[5]
Simulated X-ray powder pattern of TmCl2F for λ = 1.5418 Å (Cu Kα), from a cell relaxed with GGA-PBE.
Kinematic intensities with the Lorentz-polarization factor, no thermal factor.

Crystal structure
Lattice parameters (Å, degrees): 6.830 5.930 10.330 90.00 90.00 90.00
Space group Pnna (No. 52)
Unique sites:
Tm (0.250, 0.000, 0.105)
Cl (0.074, 0.236, 0.924)
F (0.186, 0.250, 0.250)

Peak list (10 most intense, 10 to 90 degrees two-theta, most intense first)
2θ/deg  d_spacing  I/Imax  hkl
17.23  5.145  100  0 1 1
26.34  3.383  88  1 1 2
15.55  5.697  67  1 0 1
42.35  2.134  39  1 2 3
31.44  2.845  36  2 1 1
40.29  2.239  28  2 2 0
54.18  1.693  27  2 2 4
46.19  1.966  21  3 1 2
46.59  1.950  18  0 1 5
34.09  2.630  17  1 2 1

[6]
Simulated X-ray powder pattern of UClF4 for λ = 1.5418 Å (Cu Kα), from a cell relaxed with GGA-PBE.
Kinematic intensities with the Lorentz-polarization factor, no thermal factor.

Crystal structure
Lattice parameters (Å, degrees): 7.821 3.563 7.155 90.00 90.00 90.00
Space group Pmma (No. 51)
Unique sites:
U (0.250, 0.000, 0.164)
Cl (0.250, 0.000, 0.518)
F (0.000, 0.000, 0.000)
F (0.086, 0.500, 0.253)
F (0.250, 0.500, 0.957)

Peak list (10 most intense, 10 to 90 degrees two-theta, most intense first)
2θ/deg  d_spacing  I/Imax  hkl
16.79  5.279  100  1 0 1
30.27  2.953  36  1 1 1
22.74  3.910  35  2 0 0
12.37  7.155  32  0 0 1
37.43  2.402  32  1 1 2
27.41  3.253  29  1 0 2
34.04  2.634  26  2 1 0
24.99  3.563  23  0 1 0
51.71  1.768  22  2 1 3
44.91  2.018  22  3 1 1